Calculated X-ray diffraction stick pattern
Compound: Pr2BC
Radiation: Cu Kα (weighted mean of Kα1 and Kα2)
Structure: a crystal structure in the Materials Project, relaxed with GGA-PBE

Crystal structure
a = 13.4345 Å, b = 3.7105 Å, c = 9.6656 Å
α = 90.00°, β = 131.52°, γ = 90.00°
Space group C2/m (No. 12)
Asymmetric unit:
1 Pr 0.0593 0.0000 0.3595 [4 per cell]
2 Pr 0.2070 0.5000 0.1176 [4 per cell]
3 B 0.0736 0.5000 0.6076 [4 per cell]
4 C 0.1263 0.5000 0.8009 [4 per cell]

Principal peaks in the range 10 to 90 degrees two-theta, by intensity:
hkl	2θ/deg	d/Å	I (rel.)
2 0 1	27.5	3.243	100.0
2 0 -3	28.5	3.129	93.5
3 1 -1	31.8	2.817	90.1
4 0 -2	26.6	3.356	88.6
1 1 -2	31.3	2.858	87.8
1 1 -1	25.7	3.463	73.6
3 1 0	36.1	2.488	39.7
5 1 -4	46.4	1.958	32.7
5 1 -2	41.8	2.162	31.6
1 1 2	39.8	2.263	26.7

***

Calculated X-ray diffraction stick pattern
Compound: Pr5B2C5
Radiation: Cu Kα (weighted mean of Kα1 and Kα2)
Structure: a crystal structure in the Materials Project, relaxed with GGA-PBE

Crystal structure
a = 8.6817 Å, b = 8.6817 Å, c = 11.0893 Å
α = 90.00°, β = 90.00°, γ = 90.00°
Space group P4/ncc (No. 130, origin choice 2)
Asymmetric unit:
1 Pr 0.0365 0.6567 0.1017 [16 per cell]
2 Pr 0.2500 0.2500 0.1432 [4 per cell]
3 B 0.0942 0.5942 0.7500 [8 per cell]
4 C 0.0509 0.6460 0.8713 [16 per cell]
5 C 0.2500 0.2500 0.4043 [4 per cell]

Principal peaks in the range 10 to 90 degrees two-theta, by intensity:
hkl	2θ/deg	d/Å	I (rel.)
2 1 2	28.1	3.180	100.0
3 1 1	33.6	2.665	60.8
2 1 3	33.5	2.677	49.6
3 1 0	32.6	2.745	34.5
5 0 2	55.5	1.657	33.8
2 1 1	24.3	3.664	30.8
0 0 4	32.3	2.772	30.8
3 1 5	53.1	1.725	24.5
4 2 0	46.8	1.941	18.5
3 1 4	46.6	1.951	16.7